Structure and computed X-ray diffraction stick pattern of InCoOs (a structure optimized by DFT (PBE); Cu Kα (weighted mean of Kα1 and Kα2)).
Kinematic intensities with the Lorentz-polarization factor, no thermal factor.

Unit cell a=2.802 b=13.666 c=4.691 alpha=90.00 beta=90.00 gamma=90.00
Space group Cmc2_1 (No. 36)
Unique sites:
In 0.000 0.076 0.000 (multiplicity 4)
Co 0.000 0.400 0.987 (multiplicity 4)
Os 0.000 0.243 0.652 (multiplicity 4)

The 12 most intense peaks (2θ from 15° to 90°), in order of rising 2θ:
Position (°2θ)  Rel. int.
32.4  102
38.0  334
38.4  135
39.6  358
40.7  306
42.5  1000
47.0  205
50.5  138
69.1  176
73.8  148
78.3  114
80.5  88


Structure and computed X-ray diffraction stick pattern of Dy4MgTe5 (a structure optimized by DFT (PBE); Cu Kα (weighted mean of Kα1 and Kα2)).
Kinematic intensities with the Lorentz-polarization factor, no thermal factor.

Unit cell a=9.716 b=9.716 c=6.108 alpha=90.00 beta=90.00 gamma=90.00
Space group I4 (No. 79)
Unique sites:
Dy 0.091 0.313 0.000 (multiplicity 8)
Mg 0.000 0.000 0.501 (multiplicity 2)
Te 0.000 0.000 0.001 (multiplicity 2)
Te 0.102 0.283 0.500 (multiplicity 8)

The 12 most intense peaks (2θ from 15° to 90°), in order of rising 2θ:
Position (°2θ)  Rel. int.
29.1  1000
29.2  508
31.3  85
36.4  88
41.6  362
41.7  751
51.6  385
60.2  108
68.3  289
68.6  170
75.9  208
76.2  121


Structure and computed X-ray diffraction stick pattern of ErTlCuI5 (a structure optimized by DFT (PBE); Cu Kα (weighted mean of Kα1 and Kα2)).
Kinematic intensities with the Lorentz-polarization factor, no thermal factor.

Unit cell a=9.881 b=13.130 c=11.176 alpha=90.00 beta=113.61 gamma=90.00
Space group C2/c (No. 15)
Unique sites:
Er 0.000 0.000 0.000 (multiplicity 4)
Tl 0.000 0.367 0.250 (multiplicity 4)
Cu 0.000 0.308 0.750 (multiplicity 4)
I 0.000 0.088 0.250 (multiplicity 4)
I 0.123 0.202 0.622 (multiplicity 8)
I 0.188 0.426 0.937 (multiplicity 8)

The 12 most intense peaks (2θ from 15° to 90°), in order of rising 2θ:
Position (°2θ)  Rel. int.
17.5  860
19.6  383
22.0  309
24.9  640
25.6  1000
28.1  707
28.5  476
34.1  643
36.2  335
38.4  282
41.3  429
47.3  366


Structure and computed X-ray diffraction stick pattern of KMgH9C2O10 (a structure optimized by DFT (PBE); Cu Kα (weighted mean of Kα1 and Kα2)).
Kinematic intensities with the Lorentz-polarization factor, no thermal factor.

Unit cell a=5.338 b=6.720 c=7.157 alpha=113.66 beta=91.37 gamma=107.21
Space group P-1 (No. 2)
Unique sites:
K 0.000 0.000 0.000 (multiplicity 1)
Mg 0.500 0.500 0.500 (multiplicity 1)
H 0.000 0.328 0.577 (multiplicity 2)
H 0.000 0.500 0.000 (multiplicity 1)
H 0.204 0.203 0.603 (multiplicity 2)
H 0.365 0.734 0.867 (multiplicity 2)
H 0.430 0.908 0.756 (multiplicity 2)
C 0.368 0.699 0.204 (multiplicity 2)
O 0.143 0.272 0.516 (multiplicity 2)
O 0.198 0.668 0.047 (multiplicity 2)
O 0.287 0.581 0.308 (multiplicity 2)
O 0.398 0.153 0.757 (multiplicity 2)
O 0.467 0.774 0.764 (multiplicity 2)

The 12 most intense peaks (2θ from 15° to 90°), in order of rising 2θ:
Position (°2θ)  Rel. int.
20.5  637
24.6  1000
25.7  737
28.4  681
30.0  693
30.3  962
33.8  365
34.6  471
35.4  460
37.3  695
41.8  768
43.4  554


Structure and computed X-ray diffraction stick pattern of Li2CrBr6 (a structure optimized by DFT (PBE); Cu Kα (weighted mean of Kα1 and Kα2)).
Kinematic intensities with the Lorentz-polarization factor, no thermal factor.

Unit cell a=6.297 b=6.297 c=11.649 alpha=90.00 beta=90.00 gamma=90.00
Space group P4_2/mnm (No. 136)
Unique sites:
Li 0.000 0.000 0.169 (multiplicity 4)
Cr 0.000 0.000 0.500 (multiplicity 2)
Br 0.192 0.192 0.345 (multiplicity 8)
Br 0.219 0.219 0.000 (multiplicity 4)

The 12 most intense peaks (2θ from 15° to 90°), in order of rising 2θ:
Position (°2θ)  Rel. int.
16.0  178
19.9  100
28.3  349
30.5  1000
31.8  333
39.5  163
40.5  176
46.8  107
49.4  254
51.6  169
57.7  101
60.6  123